The following is a simulated X-ray powder pattern of Li5CuP2O8. It was derived from a cell relaxed with PBE, using Cu Kα.

Main lines, low angle first (2θ from 10° to 90°):
two_theta	I_rel	hkl
16.82	42	0 1 1
17.82	43	0 0 2
21.99	49	1 1 0
22.89	47	0 1 -2
23.74	45	1 -1 1
24.48	51	1 0 2
33.38	100	1 -2 0
33.64	56	2 0 0
36.09	73	0 0 4
38.07	44	1 -2 2

Structural model:
a = 5.328 Å, b = 6.216 Å, c = 9.954 Å
α = 90.04°, β = 90.14°, γ = 90.13°
Space group P1 (No. 1)
Asymmetric unit:
Li1 0.000 0.000 0.000 x1
Li2 0.000 0.000 0.498 x1
Li3 0.172 0.247 0.248 x1
Li4 0.172 0.750 0.751 x1
Li5 0.172 0.755 0.249 x1
Li6 0.517 0.747 0.000 x1
Li7 0.518 0.254 0.497 x1
Li8 0.518 0.746 0.498 x1
Li9 0.519 0.252 0.000 x1
Li10 0.689 0.500 0.248 x1
Cu1 0.175 0.248 0.755 x1
Cu2 0.670 0.500 0.753 x1
P1 0.021 0.502 0.009 x1
P2 0.022 0.503 0.497 x1
P3 0.669 0.000 0.253 x1
P4 0.671 0.995 0.752 x1
O1 0.028 0.504 0.165 x1
O2 0.031 0.511 0.654 x1
O3 0.156 0.705 0.952 x1
O4 0.157 0.292 0.961 x1
O5 0.158 0.296 0.447 x1
O6 0.159 0.709 0.444 x1
O7 0.521 0.797 0.699 x1
O8 0.532 0.206 0.201 x1
O9 0.532 0.794 0.200 x1
O10 0.543 0.201 0.693 x1
O11 0.664 0.000 0.410 x1
O12 0.665 0.000 0.909 x1
O13 0.740 0.500 0.963 x1
O14 0.744 0.501 0.449 x1
O15 0.945 0.984 0.700 x1
O16 0.947 0.000 0.203 x1